Structure and computed XRD peak list of BaYSi3Au (a cell relaxed with PBE; Cu Kα).

Peak list (6 most intense, 2θ = 5–70°, in order of rising 2θ)
23.35 deg, rel. 29; 31.47 deg, rel. 100; 39.43 deg, rel. 17; 43.16 deg, rel. 40; 54.39 deg, rel. 21; 59.88 deg, rel. 30

Crystal structure
```
BaYSi3Au
1.0
0.000 4.570 7.261
4.191 0.000 7.261
4.191 4.570 0.000
Ba Y Si Au
2 2 6 2
Cartesian
4.191 2.273 7.261 Ba
4.191 6.868 7.261 Ba
2.096 2.285 3.631 Y
6.287 6.856 10.892 Y
6.319 4.570 6.013 Si
4.191 4.570 2.397 Si
6.319 4.570 8.509 Si
2.064 4.570 6.013 Si
4.191 4.570 12.125 Si
2.064 4.570 8.509 Si
4.191 4.570 4.774 Au
4.191 4.570 9.748 Au
```